# 1
This entry pairs a crystal structure of Er6Tl6Pb with its theoretical X-ray powder pattern. Radiation: Cu Kα (weighted mean of Kα1 and Kα2). Structure: DFT lattice parameters and positions (GGA-PBE).
No peak broadening, texture or thermal motion is included.

Crystal structure
Unit cell a=6.4876 b=6.4876 c=10.2443 alpha=90.00 beta=90.00 gamma=120.00
Positions (direct):
Er: 0.0000 0.0000 0.1826
Er: 0.0000 0.0000 0.8174
Er: 0.3333 0.6667 0.0000
Er: 0.3333 0.6667 0.5000
Er: 0.6667 0.3333 0.0000
Er: 0.6667 0.3333 0.5000
Tl: 0.0000 0.5000 0.2500
Tl: 0.0000 0.5000 0.7500
Tl: 0.5000 0.0000 0.2500
Tl: 0.5000 0.0000 0.7500
Tl: 0.5000 0.5000 0.2500
Tl: 0.5000 0.5000 0.7500
Pb: 0.0000 0.0000 0.5000

Top 10 peaks for 5° ≤ 2θ ≤ 70°, in order of rising 2θ:
d/Å, intensity, (hkl)
3.244, 28, 1 1 0
2.918, 18, 1 0 3
2.809, 59, 2 0 0
2.740, 62, 1 1 2
2.561, 32, 0 0 4
2.463, 100, 2 0 2
1.893, 21, 2 0 4
1.622, 34, 2 2 0
1.511, 24, 1 1 6
1.370, 28, 2 2 4

***

# 2
This entry pairs a crystal structure of Cu6Pt5 with its theoretical X-ray powder pattern. Radiation: Cu Kα (weighted mean of Kα1 and Kα2). Structure: DFT lattice parameters and positions (GGA-PBE).
No peak broadening, texture or thermal motion is included.

Crystal structure
Unit cell a=4.6385 b=6.0369 c=6.0578 alpha=107.59 beta=104.88 gamma=97.65
Positions (direct):
Cu: 0.0000 0.0000 0.0000
Cu: 0.0884 0.8149 0.3611
Cu: 0.1814 0.6374 0.7236
Cu: 0.2747 0.4541 0.0924
Cu: 0.3629 0.2751 0.4526
Cu: 0.6323 0.7245 0.5409
Pt: 0.4483 0.0792 0.8090
Pt: 0.5341 0.9038 0.1825
Pt: 0.7296 0.5522 0.9045
Pt: 0.8252 0.3719 0.2781
Pt: 0.9142 0.1818 0.6361

Top 10 peaks for 5° ≤ 2θ ≤ 70°, in order of rising 2θ:
d/Å, intensity, (hkl)
4.364, 8, 1 0 0
4.100, 5, 1 0 -1
3.114, 6, 1 1 0
2.202, 100, 1 -1 2
2.192, 33, -2 1 1
1.912, 43, 1 0 -3
1.892, 21, 2 1 0
1.355, 7, 0 3 -4
1.348, 13, -2 3 2
1.345, 7, 1 4 -1

***

- What is the formula in the first record?
  Er6Tl6Pb